Cu7Ag3: theoretical powder diffraction line list (Cu Kα X-rays), based on a PBE-relaxed structure.
Neutral-atom scattering factors, no anomalous dispersion.

Atomic structure:
a b c (Å): 4.6282 4.6575 7.0905
angles (deg): 108.22 102.41 99.75
Space group P1 (No. 1)
Symmetry-distinct sites (fractional):
Cu (0.0000, 0.0000, 0.0000) x1
Cu (0.0751, 0.1786, 0.6667) x1
Cu (0.1901, 0.3736, 0.3849) x1
Cu (0.4987, 0.0066, 0.4844) x1
Cu (0.6182, 0.1969, 0.2012) x1
Cu (0.7796, 0.5907, 0.5669) x1
Cu (0.9099, 0.8030, 0.3004) x1
Ag (0.3117, 0.5967, 0.1045) x1
Ag (0.3734, 0.7893, 0.7746) x1
Ag (0.7067, 0.3942, 0.8819) x1

Peak list (10 most intense, 2θ from 10° to 90°, in order of rising 2θ)
- 2θ 40.84, 2.209 Å, I 50.3, hkl 1 1 1
- 2θ 41.13, 2.195 Å, I 50.1, hkl 1 0 -3
- 2θ 41.33, 2.185 Å, I 100.0, hkl 0 2 -2
- 2θ 47.47, 1.915 Å, I 33.0, hkl -1 2 1
- 2θ 47.95, 1.897 Å, I 29.4, hkl 1 -1 3
- 2θ 48.24, 1.887 Å, I 31.3, hkl 2 1 -2
- 2θ 69.81, 1.347 Å, I 9.4, hkl 1 3 -1
- 2θ 70.21, 1.341 Å, I 26.6, hkl -3 1 3
- 2θ 84.21, 1.150 Å, I 9.9, hkl 1 -4 1
- 2θ 85.25, 1.138 Å, I 15.8, hkl 2 3 -4